[1]
Calculated XRD peak list of AcPr3In2 for Cu Kα, 1.54184 Å, from the PBE geometry in Alexandria.

Principal peaks in the range 10° ≤ 2θ ≤ 90°, sorted by position:
h k l, Position (°2θ), I (rel.)
3 1 -2, 25.96, 20.0
2 0 2, 28.41, 32.0
2 0 -3, 28.77, 12.9
1 1 2, 29.20, 46.2
4 0 -3, 29.90, 16.0
5 1 -1, 30.37, 100.0
0 2 0, 31.94, 53.7
3 1 -3, 32.98, 51.4
2 2 2, 43.26, 28.3
7 1 1, 49.79, 11.5
5 3 -1, 55.95, 17.8
3 1 4, 56.79, 14.8

```
data_AcPr3In2
_space_group_name_H-M_alt 'C 1 2/m 1'
_space_group_IT_number 12
_cell_length_a 17.3626
_cell_length_b 5.6035
_cell_length_c 9.3662
_cell_angle_alpha 90.00
_cell_angle_beta 116.66
_cell_angle_gamma 90.00
loop_
_space_group_symop_operation_xyz
'x,y,z'
'-x,-y,-z'
'-x,y,-z'
'x,-y,z'
'x+1/2,y+1/2,z'
'-x+1/2,-y+1/2,-z'
'-x+1/2,y+1/2,-z'
'x+1/2,-y+1/2,z'
loop_
_atom_site_label
_atom_site_fract_x
_atom_site_fract_y
_atom_site_fract_z
Ac1 0.1273 0.0000 0.1791
Pr1 0.0628 0.0000 0.7138
Pr2 0.1188 0.5000 0.5374
Pr3 0.1974 0.5000 0.9962
In1 0.0063 0.5000 0.1610
In2 0.2288 0.0000 0.6021
```

***

[2]
Calculated XRD peak list of LiCaTe2 for Cu Kα, 1.54184 Å, from the PBE geometry in Alexandria.

Principal peaks in the range 10° ≤ 2θ ≤ 90°, sorted by position:
h k l, Position (°2θ), I (rel.)
1 1 0, 22.70, 93.2
0 1 1, 28.08, 55.0
0 2 0, 28.22, 59.7
1 0 1, 30.19, 100.0
2 0 0, 35.99, 31.0
1 2 1, 41.80, 81.0
2 2 0, 46.30, 58.3
1 1 2, 55.20, 17.0
1 4 1, 67.12, 19.2
3 2 1, 68.67, 18.0
2 2 2, 70.22, 16.8
2 4 0, 70.53, 16.4

```
data_LiCaTe2
_space_group_name_H-M_alt 'P m m 2'
_space_group_IT_number 25
_cell_length_a 4.9911
_cell_length_b 6.3243
_cell_length_c 3.6759
_cell_angle_alpha 90.00
_cell_angle_beta 90.00
_cell_angle_gamma 90.00
loop_
_space_group_symop_operation_xyz
'x,y,z'
'-x,-y,z'
'-x,y,z'
'x,-y,z'
loop_
_atom_site_label
_atom_site_fract_x
_atom_site_fract_y
_atom_site_fract_z
Li1 0.0000 0.0000 0.0000
Ca1 0.5000 0.5000 0.5015
Te1 0.0000 0.5000 0.0010
Te2 0.5000 0.0000 0.4994
```

***

[3]
Calculated XRD peak list of GdTiFe11C for Cu Kα, 1.54184 Å, from the PBE geometry in Alexandria.

Principal peaks in the range 10° ≤ 2θ ≤ 90°, sorted by position:
h k l, Position (°2θ), I (rel.)
1 2 1, 29.70, 32.6
1 1 2, 29.81, 21.4
1 3 0, 36.51, 28.8
1 0 3, 36.73, 26.6
2 0 0, 36.91, 23.5
0 4 0, 42.25, 37.9
1 3 2, 42.45, 68.0
0 0 4, 42.58, 98.4
2 0 2, 42.77, 100.0
2 2 2, 48.02, 36.8
3 3 2, 70.34, 26.2
2 6 0, 77.58, 12.7

```
data_GdTiFe11C
_space_group_name_H-M_alt 'I m m 2'
_space_group_IT_number 44
_cell_length_a 4.8707
_cell_length_b 8.5564
_cell_length_c 8.4900
_cell_angle_alpha 90.00
_cell_angle_beta 90.00
_cell_angle_gamma 90.00
loop_
_space_group_symop_operation_xyz
'x,y,z'
'-x,-y,z'
'-x,y,z'
'x,-y,z'
'x+1/2,y+1/2,z+1/2'
'-x+1/2,-y+1/2,z+1/2'
'-x+1/2,y+1/2,z+1/2'
'x+1/2,-y+1/2,z+1/2'
loop_
_atom_site_label
_atom_site_fract_x
_atom_site_fract_y
_atom_site_fract_z
Gd1 0.0000 0.0000 0.0000
Ti1 0.0000 0.0000 0.3739
Fe1 0.0000 0.0000 0.6504
Fe2 0.0000 0.2799 0.5094
Fe3 0.0000 0.3585 0.0073
Fe4 0.0000 0.5000 0.2821
Fe5 0.0000 0.5000 0.7303
Fe6 0.2495 0.2486 0.7565
C1 0.0000 0.5000 0.5058
```

***

[4]
Calculated XRD peak list of PmNi3As2 for Cu Kα, 1.54184 Å, from the PBE geometry in Alexandria.

Principal peaks in the range 10° ≤ 2θ ≤ 90°, sorted by position:
h k l, Position (°2θ), I (rel.)
1 1 2, 28.83, 22.9
1 2 1, 33.64, 73.5
0 2 4, 36.74, 35.4
1 1 4, 37.65, 42.0
1 2 3, 39.08, 100.0
0 0 6, 41.67, 51.2
2 0 0, 45.31, 84.7
1 4 3, 58.81, 20.8
2 2 4, 59.70, 20.2
1 2 7, 60.31, 21.0
2 0 6, 63.26, 28.4
1 3 8, 73.61, 22.0

```
data_PmNi3As2
_space_group_name_H-M_alt 'I m m m'
_space_group_IT_number 71
_space_group_name_Hall '-I 2 2'
_cell_length_a 4.0002
_cell_length_b 7.4283
_cell_length_c 13.0060
_cell_angle_alpha 90.00
_cell_angle_beta 90.00
_cell_angle_gamma 90.00
loop_
_atom_site_label
_atom_site_fract_x
_atom_site_fract_y
_atom_site_fract_z
Pm1 0.0000 0.0000 0.1436
Ni1 0.0000 0.1886 0.3292
Ni2 0.0000 0.3364 0.0000
As1 0.0000 0.3166 0.5000
As2 0.0000 0.5000 0.1642
```

***

[5]
Calculated XRD peak list of Sr2SnAu7 for Cu Kα, 1.54184 Å, from the PBE geometry in Alexandria.

Principal peaks in the range 10° ≤ 2θ ≤ 90°, sorted by position:
h k l, Position (°2θ), I (rel.)
1 0 1, 21.95, 45.8
1 0 3, 29.30, 23.6
1 1 2, 32.74, 100.0
1 0 5, 40.43, 41.9
1 1 4, 40.71, 68.1
2 0 0, 42.47, 57.4
2 1 5, 60.08, 26.4
2 0 6, 60.78, 18.6
2 2 0, 61.62, 19.3
3 1 2, 71.56, 21.6
3 1 4, 76.51, 22.5
1 1 10, 79.86, 17.8

```
data_Sr2SnAu7
_space_group_name_H-M_alt 'P -4 m 2'
_space_group_IT_number 115
_cell_length_a 4.2569
_cell_length_b 4.2569
_cell_length_c 13.0985
_cell_angle_alpha 90.00
_cell_angle_beta 90.00
_cell_angle_gamma 90.00
loop_
_space_group_symop_operation_xyz
'x,y,z'
'y,-x,-z'
'-x,-y,z'
'-y,x,-z'
'-x,y,z'
'-y,-x,-z'
'x,-y,z'
'y,x,-z'
loop_
_atom_site_label
_atom_site_fract_x
_atom_site_fract_y
_atom_site_fract_z
Sr1 0.0000 0.5000 0.2374
Sn1 0.0000 0.0000 0.5000
Au1 0.0000 0.0000 0.0000
Au2 0.0000 0.5000 0.6499
Au3 0.0000 0.5000 0.8559
Au4 0.5000 0.5000 0.0000
Au5 0.5000 0.5000 0.5000
```

***

[6]
Calculated XRD peak list of CaPr4YSe8 for Cu Kα, 1.54184 Å, from the PBE geometry in Alexandria.

Principal peaks in the range 10° ≤ 2θ ≤ 90°, sorted by position:
h k l, Position (°2θ), I (rel.)
1 0 1, 12.43, 24.4
1 0 4, 20.48, 14.8
0 2 1, 23.94, 80.6
0 1 5, 24.09, 22.5
0 2 4, 29.02, 100.0
1 2 5, 37.95, 44.2
2 2 0, 41.36, 70.0
2 0 8, 41.66, 70.3
4 0 4, 51.32, 18.3
0 4 8, 60.15, 21.9
2 2 12, 68.37, 15.1
4 2 8, 75.63, 20.9

```
data_CaPr4YSe8
_space_group_name_H-M_alt 'R 3 m'
_space_group_IT_number 160
_space_group_name_Hall 'R 3 -2"'
_cell_length_a 8.7321
_cell_length_b 8.7321
_cell_length_c 21.1695
_cell_angle_alpha 90.00
_cell_angle_beta 90.00
_cell_angle_gamma 120.00
loop_
_atom_site_label
_atom_site_fract_x
_atom_site_fract_y
_atom_site_fract_z
Ca1 0.0000 0.0000 0.0000
Pr1 0.0000 0.0000 0.2481
Pr2 0.1694 0.3387 0.4570
Y1 0.0000 0.0000 0.6266
Se1 0.0000 0.0000 0.3819
Se2 0.0000 0.0000 0.8671
Se3 0.0258 0.5129 0.3737
Se4 0.1811 0.3621 0.2080
```

***

[7]
Calculated XRD peak list of K2U2CdSe6 for Cu Kα, 1.54184 Å, from the PBE geometry in Alexandria.

Principal peaks in the range 10° ≤ 2θ ≤ 90°, sorted by position:
h k l, Position (°2θ), I (rel.)
0 0 1, 11.20, 100.0
1 3 0, 24.97, 15.5
1 3 1, 28.92, 68.6
2 0 -2, 29.46, 32.9
1 3 2, 36.29, 20.5
2 0 2, 39.34, 12.0
1 3 -3, 39.49, 23.8
0 6 0, 43.29, 12.0
3 3 -1, 43.92, 23.4
1 3 -4, 49.40, 11.6
2 6 -2, 53.23, 12.5
3 3 4, 75.38, 9.9

```
data_K2U2CdSe6
_space_group_name_H-M_alt 'C 1 2/m 1'
_space_group_IT_number 12
_cell_length_a 7.1107
_cell_length_b 12.5404
_cell_length_c 8.2236
_cell_angle_alpha 90.00
_cell_angle_beta 106.04
_cell_angle_gamma 90.00
loop_
_space_group_symop_operation_xyz
'x,y,z'
'-x,-y,-z'
'-x,y,-z'
'x,-y,z'
'x+1/2,y+1/2,z'
'-x+1/2,-y+1/2,-z'
'-x+1/2,y+1/2,-z'
'x+1/2,-y+1/2,z'
loop_
_atom_site_label
_atom_site_fract_x
_atom_site_fract_y
_atom_site_fract_z
K1 0.0000 0.1621 0.0000
U1 0.0000 0.3343 0.5000
Cd1 0.0000 0.0000 0.5000
Se1 0.2282 0.5000 0.6992
Se2 0.2360 0.1735 0.7018
```

***

[8]
Calculated XRD peak list of La2TmScS4 for Cu Kα, 1.54184 Å, from the PBE geometry in Alexandria.

Principal peaks in the range 10° ≤ 2θ ≤ 90°, sorted by position:
h k l, Position (°2θ), I (rel.)
0 0 2, 26.63, 18.1
2 0 0, 27.83, 15.5
1 1 -1, 27.94, 30.6
1 1 1, 31.97, 100.0
2 0 2, 44.93, 12.1
1 1 -3, 45.06, 24.0
3 1 -1, 46.58, 22.9
0 2 0, 46.75, 11.3
3 1 1, 54.47, 10.8
2 2 -2, 57.75, 11.7
0 2 4, 74.88, 11.7
4 2 0, 77.11, 9.9

```
data_La2TmScS4
_space_group_name_H-M_alt 'P 1 2/m 1'
_space_group_IT_number 10
_cell_length_a 6.7617
_cell_length_b 3.8859
_cell_length_c 7.0584
_cell_angle_alpha 90.00
_cell_angle_beta 108.50
_cell_angle_gamma 90.00
loop_
_space_group_symop_operation_xyz
'x,y,z'
'-x,-y,-z'
'-x,y,-z'
'x,-y,z'
loop_
_atom_site_label
_atom_site_fract_x
_atom_site_fract_y
_atom_site_fract_z
La1 0.0000 0.0000 0.0000
La2 0.5000 0.5000 0.0000
Tm1 0.0000 0.5000 0.5000
Sc1 0.5000 0.0000 0.5000
S1 0.2449 0.0000 0.7202
S2 0.2662 0.5000 0.2828
```

***

[9]
Calculated XRD peak list of LiCuP3O9 for Cu Kα, 1.54184 Å, from the PBE geometry in Alexandria.

Principal peaks in the range 10° ≤ 2θ ≤ 90°, sorted by position:
h k l, Position (°2θ), I (rel.)
0 1 -1, 14.88, 88.3
1 -1 0, 18.77, 96.8
0 0 2, 22.24, 37.5
0 2 0, 25.42, 100.0
1 0 2, 26.89, 46.9
1 1 -2, 27.05, 27.1
0 1 2, 28.01, 33.1
2 0 0, 28.68, 23.9
1 2 -1, 29.47, 24.8
0 2 -2, 30.01, 21.5
2 1 -1, 32.48, 26.2
0 2 2, 37.66, 30.8

```
data_LiCuP3O9
_space_group_name_H-M_alt 'P -1'
_space_group_IT_number 2
_cell_length_a 6.2297
_cell_length_b 7.1848
_cell_length_c 8.1927
_cell_angle_alpha 102.55
_cell_angle_beta 91.48
_cell_angle_gamma 91.39
loop_
_space_group_symop_operation_xyz
'x,y,z'
'-x,-y,-z'
loop_
_atom_site_label
_atom_site_fract_x
_atom_site_fract_y
_atom_site_fract_z
Li1 0.1213 0.2163 0.3614
Cu1 0.1934 0.7344 0.3453
P1 0.1662 0.6830 0.9290
P2 0.3112 0.3166 0.7354
P3 0.3837 0.9148 0.7186
O1 0.0302 0.3239 0.1791
O2 0.1182 0.2987 0.6144
O3 0.1515 0.7505 0.1148
O4 0.2029 0.8436 0.5890
O5 0.2748 0.4750 0.9008
O6 0.3238 0.1310 0.8128
O7 0.3580 0.8109 0.8718
O8 0.3898 0.0884 0.3330
O9 0.4802 0.6396 0.3392
```

***

[10]
Calculated XRD peak list of Ba5HgAu for Cu Kα, 1.54184 Å, from the PBE geometry in Alexandria.

Principal peaks in the range 10° ≤ 2θ ≤ 90°, sorted by position:
h k l, Position (°2θ), I (rel.)
1 0 1, 11.24, 100.0
1 1 -2, 23.59, 68.2
2 0 -3, 25.20, 47.3
0 1 3, 25.49, 39.6
2 1 0, 26.46, 68.9
2 1 1, 27.29, 55.4
1 1 3, 27.46, 42.6
3 0 -1, 28.76, 40.2
2 1 2, 29.30, 90.3
0 1 4, 29.87, 47.3
2 1 -4, 34.98, 40.3
0 2 0, 37.35, 59.3

```
data_Ba5HgAu
_space_group_name_H-M_alt 'P 1 21/m 1'
_space_group_IT_number 11
_cell_length_a 9.4337
_cell_length_b 4.8158
_cell_length_c 15.2820
_cell_angle_alpha 90.00
_cell_angle_beta 92.47
_cell_angle_gamma 90.00
loop_
_space_group_symop_operation_xyz
'x,y,z'
'-x,-y,-z'
'-x,y+1/2,-z'
'x,-y+1/2,z'
loop_
_atom_site_label
_atom_site_fract_x
_atom_site_fract_y
_atom_site_fract_z
Ba1 0.0600 0.2500 0.1704
Ba2 0.1457 0.7500 0.5733
Ba3 0.3207 0.7500 0.0169
Ba4 0.3456 0.2500 0.7785
Ba5 0.3698 0.2500 0.3762
Hg1 0.0844 0.7500 0.3393
Au1 0.4314 0.2500 0.1511
```

***

[11]
Calculated XRD peak list of AcYTeO5 for Cu Kα, 1.54184 Å, from the PBE geometry in Alexandria.

Principal peaks in the range 10° ≤ 2θ ≤ 90°, sorted by position:
h k l, Position (°2θ), I (rel.)
0 2 0, 18.66, 25.1
1 1 1, 22.67, 44.8
0 0 2, 24.27, 24.0
2 0 0, 24.49, 29.3
2 0 -2, 25.88, 66.8
0 2 2, 30.79, 52.5
1 3 -1, 31.02, 100.0
2 0 2, 41.97, 23.3
2 2 -4, 48.69, 18.9
3 3 -3, 49.03, 36.6
1 5 1, 52.60, 18.0
4 0 -4, 53.22, 22.7

```
data_AcYTeO5
_space_group_name_H-M_alt 'C 1 2/c 1'
_space_group_IT_number 15
_cell_length_a 8.0847
_cell_length_b 9.5113
_cell_length_c 8.1590
_cell_angle_alpha 90.00
_cell_angle_beta 115.97
_cell_angle_gamma 90.00
loop_
_space_group_symop_operation_xyz
'x,y,z'
'-x,-y,-z'
'-x,y,-z+1/2'
'x,-y,z+1/2'
'x+1/2,y+1/2,z'
'-x+1/2,-y+1/2,-z'
'-x+1/2,y+1/2,-z+1/2'
'x+1/2,-y+1/2,z+1/2'
loop_
_atom_site_label
_atom_site_fract_x
_atom_site_fract_y
_atom_site_fract_z
Ac1 0.0000 0.0592 0.2500
Y1 0.2500 0.2500 0.0000
Te1 0.0000 0.4636 0.2500
O1 0.0000 0.1882 0.7500
O2 0.0410 0.3223 0.1054
O3 0.2139 0.0179 0.0781
```

***

[12]
Calculated XRD peak list of AgOs2RhO8 for Cu Kα, 1.54184 Å, from the PBE geometry in Alexandria.

Principal peaks in the range 10° ≤ 2θ ≤ 90°, sorted by position:
h k l, Position (°2θ), I (rel.)
0 1 1, 22.97, 100.0
0 1 2, 30.72, 65.5
1 1 0, 34.59, 53.0
1 0 3, 40.72, 19.9
2 0 1, 41.93, 18.7
0 2 2, 46.93, 21.0
0 2 3, 54.47, 8.9
2 1 1, 55.44, 17.9
3 -2 2, 59.59, 20.2
1 1 4, 60.16, 26.4
3 0 0, 61.98, 14.0
2 1 3, 66.15, 9.9

```
data_AgOs2RhO8
_space_group_name_H-M_alt 'P -3'
_space_group_IT_number 147
_cell_length_a 5.1865
_cell_length_b 5.1865
_cell_length_c 7.6416
_cell_angle_alpha 90.00
_cell_angle_beta 90.00
_cell_angle_gamma 120.00
loop_
_space_group_symop_operation_xyz
'x,y,z'
'-x,-y,-z'
'-y,x-y,z'
'y,-x+y,-z'
'-x+y,-x,z'
'x-y,x,-z'
loop_
_atom_site_label
_atom_site_fract_x
_atom_site_fract_y
_atom_site_fract_z
Ag1 0.0000 0.0000 0.0000
Os1 0.3333 0.6667 0.7488
Rh1 0.0000 0.0000 0.5000
O1 0.0226 0.3310 0.6604
O2 0.3333 0.6667 0.9793
```